Theoretical X-ray powder pattern of BaLaSi3Au for Cu Kα X-rays, from a GGA-PBE-relaxed structure.
No peak broadening, texture or thermal motion is included.

Largest 12 diffraction maxima, most intense first, 5° ≤ 2θ ≤ 70°:
(2 2 2), d 2.897, I = 100; (4 4 0), d 1.577, I = 30; (2 0 6), d 2.113, I = 24; (0 4 0), d 2.368, I = 23; (1 1 3), d 3.859, I = 22; (4 2 4), d 1.709, I = 14; (2 6 2), d 1.450, I = 13; (4 0 0), d 2.118, I = 12; (1 1 1), d 5.797, I = 12; (0 0 4), d 3.662, I = 8; (1 3 3), d 2.529, I = 7; (2 2 0), d 3.157, I = 7

Atomic structure:
```
data_BaLaSi3Au
_chemical_formula_sum 'Ba8 La8 Si24 Au8'
_space_group_name_H-M_alt 'F m m m'
_space_group_IT_number 69
_space_group_name_Hall '-F 2 2'
_cell_length_a 8.471
_cell_length_b 9.472
_cell_length_c 14.626
_cell_angle_alpha 90.00
_cell_angle_beta 90.00
_cell_angle_gamma 90.00
loop_
_atom_site_label
_atom_site_type_symbol
_atom_site_fract_x
_atom_site_fract_y
_atom_site_fract_z
Ba1 Ba 0.000 0.248 0.000
La1 La 0.250 0.250 0.250
Si1 Si 0.000 0.000 0.165
Si2 Si 0.245 0.000 0.084
Au1 Au 0.000 0.000 0.331
```

Theoretical X-ray powder pattern of PbAu7 for Cu Kα X-rays, from a GGA-PBE-relaxed structure.
No peak broadening, texture or thermal motion is included.

Largest 12 diffraction maxima, most intense first, 5° ≤ 2θ ≤ 70°:
(0 0 2), d 16.852, I = 100; (1 1 0), d 2.393, I = 72; (0 1 11), d 2.418, I = 59; (1 0 11), d 2.149, I = 42; (1 2 11), d 1.452, I = 24; (0 2 0), d 1.968, I = 21; (2 0 0), d 1.508, I = 9; (0 1 10), d 2.560, I = 9; (0 0 22), d 1.532, I = 7; (0 1 9), d 2.714, I = 7; (0 0 3), d 11.234, I = 6; (1 0 10), d 2.247, I = 6

Atomic structure:
```
data_PbAu7
_chemical_formula_sum 'Pb2 Au14'
_space_group_name_H-M_alt 'P m m n'
_space_group_IT_number 59
_cell_length_a 3.016
_cell_length_b 3.937
_cell_length_c 33.703
_cell_angle_alpha 90.00
_cell_angle_beta 90.00
_cell_angle_gamma 90.00
loop_
_space_group_symop_operation_xyz
'x,y,z'
'-x,-y,-z'
'-x+1/2,-y+1/2,z'
'x+1/2,y+1/2,-z'
'x+1/2,-y,-z'
'-x+1/2,y,z'
'-x,y+1/2,-z'
'x,-y+1/2,z'
loop_
_atom_site_label
_atom_site_type_symbol
_atom_site_fract_x
_atom_site_fract_y
_atom_site_fract_z
Pb1 Pb 0.250 0.250 0.152
Au1 Au 0.250 0.250 0.251
Au2 Au 0.250 0.250 0.342
Au3 Au 0.250 0.250 0.432
Au4 Au 0.250 0.250 0.523
Au5 Au 0.250 0.250 0.613
Au6 Au 0.250 0.250 0.703
Au7 Au 0.250 0.250 0.795
```

Theoretical X-ray powder pattern of Li4PaNbO6 for Cu Kα X-rays, from a GGA-PBE-relaxed structure.
No peak broadening, texture or thermal motion is included.

Largest 12 diffraction maxima, most intense first, 5° ≤ 2θ ≤ 70°:
(0 0 1), d 4.987, I = 100; (1 1 0), d 4.500, I = 58; (1 3 1), d 2.202, I = 55; (1 1 -1), d 3.940, I = 45; (1 3 0), d 2.665, I = 41; (0 2 1), d 3.412, I = 28; (0 2 0), d 4.678, I = 26; (2 0 -2), d 2.172, I = 23; (1 1 1), d 2.952, I = 22; (1 3 -1), d 2.533, I = 22; (2 0 -1), d 2.656, I = 21; (1 3 -2), d 1.995, I = 18

Atomic structure:
```
data_Li4PaNbO6
_chemical_formula_sum 'Li8 Pa2 Nb2 O12'
_space_group_name_H-M_alt 'C 1 2 1'
_space_group_IT_number 5
_cell_length_a 5.421
_cell_length_b 9.356
_cell_length_c 5.268
_cell_angle_alpha 90.00
_cell_angle_beta 108.80
_cell_angle_gamma 90.00
loop_
_space_group_symop_operation_xyz
'x,y,z'
'-x,y,-z'
'x+1/2,y+1/2,z'
'-x+1/2,y+1/2,-z'
loop_
_atom_site_label
_atom_site_type_symbol
_atom_site_fract_x
_atom_site_fract_y
_atom_site_fract_z
Li1 Li 0.000 0.000 0.000
Li2 Li 0.000 0.145 0.500
Li3 Li 0.000 0.523 0.500
Li4 Li 0.000 0.853 0.500
Pa1 Pa 0.000 0.338 0.000
Nb1 Nb 0.000 0.662 0.000
O1 O 0.238 0.826 0.244
O2 O 0.245 0.662 0.764
O3 O 0.248 0.007 0.741
```

Theoretical X-ray powder pattern of Ni2Cl for Cu Kα X-rays, from a GGA-PBE-relaxed structure.
No peak broadening, texture or thermal motion is included.

Largest 8 diffraction maxima, most intense first, 5° ≤ 2θ ≤ 70°:
(3 1 1), d 2.113, I = 100; (2 2 2), d 2.023, I = 62; (1 1 1), d 4.046, I = 37; (5 1 1), d 1.349, I = 28; (4 0 0), d 1.752, I = 16; (2 2 0), d 2.478, I = 13; (3 3 1), d 1.608, I = 9; (4 2 2), d 1.430, I = 4

Atomic structure:
Unit cell a=7.008 b=7.008 c=7.008 alpha=90.00 beta=90.00 gamma=90.00
Space group Fd-3m (No. 227, origin choice 2)
Unique sites:
Ni1 0.000 0.000 0.000 x16
Cl1 0.125 0.125 0.625 x8

Theoretical X-ray powder pattern of Dy7Os2S2 for Cu Kα X-rays, from a GGA-PBE-relaxed structure.
No peak broadening, texture or thermal motion is included.

Largest 12 diffraction maxima, most intense first, 5° ≤ 2θ ≤ 70°:
(1 4 1), d 2.580, I = 100; (1 1 2), d 2.902, I = 50; (0 2 0), d 7.411, I = 46; (1 3 2), d 2.538, I = 38; (0 3 3), d 2.569, I = 29; (0 5 1), d 2.816, I = 28; (2 0 0), d 1.960, I = 27; (1 2 3), d 2.271, I = 24; (1 0 3), d 2.386, I = 24; (1 3 0), d 3.071, I = 17; (0 1 3), d 2.947, I = 16; (0 4 2), d 2.863, I = 16

Atomic structure:
```
data_Dy7Os2S2
_chemical_formula_sum 'Dy14 Os4 S4'
_space_group_name_H-M_alt 'I m m 2'
_space_group_IT_number 44
_cell_length_a 3.920
_cell_length_b 14.823
_cell_length_c 9.021
_cell_angle_alpha 90.00
_cell_angle_beta 90.00
_cell_angle_gamma 90.00
loop_
_space_group_symop_operation_xyz
'x,y,z'
'-x,-y,z'
'-x,y,z'
'x,-y,z'
'x+1/2,y+1/2,z+1/2'
'-x+1/2,-y+1/2,z+1/2'
'-x+1/2,y+1/2,z+1/2'
'x+1/2,-y+1/2,z+1/2'
loop_
_atom_site_label
_atom_site_type_symbol
_atom_site_fract_x
_atom_site_fract_y
_atom_site_fract_z
Dy1 Dy 0.000 0.000 0.000
Dy2 Dy 0.000 0.121 0.416
Dy3 Dy 0.000 0.319 0.630
Dy4 Dy 0.000 0.360 0.253
Os1 Os 0.000 0.239 0.932
S1 S 0.000 0.000 0.666
S2 S 0.000 0.500 0.754
```